The following is a computed X-ray diffraction stick pattern of Pm5HoTl3. It was derived from a structure optimized by DFT (PBE), using Cu Kα.
Intensities are scaled so that the largest is 100.

Structural model:
Cell: 9.5597 9.5597 6.8672 Å, 90.00 90.00 120.00°
Sites, in units of the cell vectors:
Pm (0.0000, 0.3378, 0.2500)
Pm (0.0000, 0.6622, 0.7500)
Pm (0.3333, 0.6667, 0.0000)
Pm (0.3333, 0.6667, 0.5000)
Pm (0.3378, 0.0000, 0.2500)
Pm (0.3378, 0.3378, 0.7500)
Pm (0.6622, 0.0000, 0.7500)
Pm (0.6622, 0.6622, 0.2500)
Pm (0.6667, 0.3333, 0.0000)
Pm (0.6667, 0.3333, 0.5000)
Ho (0.0000, 0.0000, 0.0000)
Ho (0.0000, 0.0000, 0.5000)
Tl (0.0000, 0.3261, 0.7500)
Tl (0.0000, 0.6739, 0.2500)
Tl (0.3261, 0.0000, 0.7500)
Tl (0.3261, 0.3261, 0.2500)
Tl (0.6739, 0.0000, 0.2500)
Tl (0.6739, 0.6739, 0.7500)

Main lines, by angle (2θ from 5° to 70°):
2θ 25.95, I 9, (0 0 2)
2θ 32.10, I 88, (1 1 2)
2θ 32.44, I 100, (3 0 0)
2θ 42.00, I 15, (3 0 2)
2θ 46.28, I 32, (2 2 2)
2θ 53.37, I 8, (0 0 4)
2θ 57.66, I 33, (4 1 2)
2θ 57.87, I 19, (3 3 0)
2θ 63.86, I 29, (3 0 4)
2θ 67.93, I 12, (6 0 0)

The following is a computed X-ray diffraction stick pattern of CaNpTlF6. It was derived from a structure optimized by DFT (PBE), using Cu Kα.
Intensities are scaled so that the largest is 100.

Structural model:
Cell: 6.3388 6.3388 10.8495 Å, 90.00 90.00 120.00°
Sites, in units of the cell vectors:
Ca (0.3333, 0.6667, 0.2500)
Ca (0.6667, 0.3333, 0.7500)
Np (0.3333, 0.6667, 0.7500)
Np (0.6667, 0.3333, 0.2500)
Tl (0.0000, 0.0000, 0.0000)
Tl (0.0000, 0.0000, 0.5000)
F (0.0018, 0.3788, 0.1435)
F (0.0018, 0.6230, 0.3565)
F (0.3770, 0.3788, 0.3565)
F (0.3770, 0.9982, 0.1435)
F (0.3788, 0.0018, 0.6435)
F (0.3788, 0.3770, 0.8565)
F (0.6212, 0.6230, 0.1435)
F (0.6212, 0.9982, 0.3565)
F (0.6230, 0.0018, 0.8565)
F (0.6230, 0.6212, 0.6435)
F (0.9982, 0.3770, 0.6435)
F (0.9982, 0.6212, 0.8565)

Main lines, by angle (2θ from 5° to 70°):
2θ 18.11, I 38, (1 0 1)
2θ 23.05, I 100, (1 0 2)
2θ 28.16, I 45, (1 1 0)
2θ 29.58, I 12, (1 0 3)
2θ 36.69, I 28, (2 0 2)
2θ 43.94, I 44, (1 1 4)
2θ 46.88, I 31, (2 1 2)
2θ 49.83, I 17, (3 0 0)
2θ 63.46, I 13, (4 -1 2)
2θ 68.89, I 11, (3 -1 6)

The following is a computed X-ray diffraction stick pattern of Cs3Ir2Cl9. It was derived from a structure optimized by DFT (PBE), using Cu Kα.
Intensities are scaled so that the largest is 100.

Structural model:
Cell: 7.4096 7.4096 18.9385 Å, 90.00 90.00 120.00°
Sites, in units of the cell vectors:
Cs (0.0000, 0.0000, 0.2500)
Cs (0.0000, 0.0000, 0.7500)
Cs (0.3333, 0.6667, 0.0656)
Cs (0.3333, 0.6667, 0.4344)
Cs (0.6667, 0.3333, 0.5656)
Cs (0.6667, 0.3333, 0.9344)
Ir (0.3333, 0.6667, 0.6670)
Ir (0.3333, 0.6667, 0.8330)
Ir (0.6667, 0.3333, 0.1670)
Ir (0.6667, 0.3333, 0.3330)
Cl (0.0467, 0.5233, 0.7500)
Cl (0.1830, 0.3660, 0.5968)
Cl (0.1830, 0.3660, 0.9032)
Cl (0.1830, 0.8170, 0.5968)
Cl (0.1830, 0.8170, 0.9032)
Cl (0.3660, 0.1830, 0.0968)
Cl (0.3660, 0.1830, 0.4032)
Cl (0.4767, 0.5233, 0.7500)
Cl (0.4767, 0.9533, 0.7500)
Cl (0.5233, 0.0467, 0.2500)
Cl (0.5233, 0.4767, 0.2500)
Cl (0.6340, 0.8170, 0.5968)
Cl (0.6340, 0.8170, 0.9032)
Cl (0.8170, 0.1830, 0.0968)
Cl (0.8170, 0.1830, 0.4032)
Cl (0.8170, 0.6340, 0.0968)
Cl (0.8170, 0.6340, 0.4032)
Cl (0.9533, 0.4767, 0.2500)

Main lines, by angle (2θ from 5° to 70°):
2θ 13.80, I 37, (1 0 0)
2θ 14.57, I 98, (1 0 1)
2θ 24.02, I 100, (1 1 0)
2θ 27.34, I 66, (1 0 5)
2θ 31.27, I 35, (2 0 3)
2θ 33.75, I 32, (2 0 4)
2θ 36.71, I 37, (2 0 5)
2θ 42.25, I 21, (3 0 0)
2θ 44.35, I 46, (2 1 5)
2θ 49.19, I 33, (2 2 0)